# K3TcO3
Theoretical X-ray diffraction stick pattern, copper Kα. Input: a DFT-relaxed cell (GGA-PBE, Alexandria).
Lines closer than 0.1° are merged.

Crystal structure
```
K3TcO3
1.0
7.3137 0.0000 0.0000
0.0000 5.6477 0.0000
-1.4849 0.0000 7.2640
K Tc O
6 2 6
Cartesian
0.2521 1.4119 2.2223
2.2379 4.2358 0.6187
1.8887 4.2358 4.3076
3.9402 1.4119 2.9563
3.5910 1.4119 6.6452
5.5768 4.2358 5.0416
0.2773 1.4119 5.7525
5.5516 4.2358 1.5115
-0.0330 4.2358 2.1739
2.1587 1.4119 0.2936
1.7120 1.4119 4.5620
4.1168 4.2358 2.7019
3.6702 4.2358 6.9704
5.8619 1.4119 5.0901
```

Peak list (10 most intense, 15 to 90 degrees two-theta, in order of rising 2θ)
Position (°2θ)	I (rel.)
15.5	30.5
19.9	57.5
20.0	51.0
29.2	43.9
29.5	57.5
29.8	56.2
30.0	31.9
31.7	100.0
33.8	26.7
59.7	25.4

# KThTc2O8
Theoretical X-ray diffraction stick pattern, copper Kα. Input: a DFT-relaxed cell (GGA-PBE, Alexandria).
Lines closer than 0.1° are merged.

Crystal structure
```
KThTc2O8
1.0
6.0597 0.0000 0.0000
-3.0298 5.2478 0.0000
0.0000 0.0000 7.7603
K Th Tc O
1 1 2 8
Cartesian
0.0000 0.0000 0.0000
0.0000 0.0000 3.8801
0.0000 3.4986 5.9978
3.0298 1.7493 1.7624
0.0000 1.7896 5.3233
-1.4800 4.3530 5.3233
0.0000 3.4986 7.7415
1.5499 0.8948 2.4369
1.4800 4.3530 5.3233
3.0298 1.7493 0.0188
4.5098 0.8948 2.4369
3.0298 3.4582 2.4369
```

Peak list (10 most intense, 15 to 90 degrees two-theta, in order of rising 2θ)
Position (°2θ)	I (rel.)
16.9	21.2
20.4	100.0
28.6	54.4
29.5	49.0
36.1	12.3
38.8	10.6
41.5	27.4
47.3	21.4
51.8	20.9
56.3	15.4

# K4TmTc3O12
Theoretical X-ray diffraction stick pattern, copper Kα. Input: a DFT-relaxed cell (GGA-PBE, Alexandria).
Lines closer than 0.1° are merged.

Crystal structure
```
K4TmTc3O12
1.0
-4.0302 4.0302 4.0302
4.0302 -4.0302 4.0302
4.0302 4.0302 -4.0302
K Tm Tc O
4 1 3 12
Cartesian
2.0151 2.0151 -2.0151
2.0151 -2.0151 2.0151
-2.0151 2.0151 2.0151
2.0151 2.0151 2.0151
0.0000 0.0000 0.0000
4.0302 0.0000 0.0000
0.0000 4.0302 0.0000
0.0000 0.0000 4.0302
2.1596 0.0000 0.0000
5.9009 0.0000 0.0000
4.0302 2.0151 0.0000
4.0302 0.0000 2.0151
0.0000 2.1596 0.0000
0.0000 0.0000 2.1596
2.0151 4.0302 0.0000
2.0151 0.0000 4.0302
0.0000 5.9009 0.0000
0.0000 0.0000 5.9009
0.0000 4.0302 2.0151
0.0000 2.0151 4.0302
```

Peak list (10 most intense, 15 to 90 degrees two-theta, in order of rising 2θ)
Position (°2θ)	I (rel.)
15.5	5.2
22.1	53.4
31.4	100.0
45.0	37.0
50.6	22.4
55.9	37.7
65.5	21.3
70.0	10.3
74.4	16.3
83.0	6.9

# KY2TcO8
Theoretical X-ray diffraction stick pattern, copper Kα. Input: a DFT-relaxed cell (GGA-PBE, Alexandria).
Lines closer than 0.1° are merged.

Crystal structure
```
KY2TcO8
1.0
4.5827 0.0000 0.0000
-0.3886 4.8799 0.0000
-1.1604 -0.4684 7.5410
K Y Tc O
1 2 1 8
Cartesian
0.0000 0.0000 0.0000
0.8709 2.0148 5.3687
2.1629 2.3967 2.1723
-0.5802 -0.2342 3.7705
-0.1998 3.2955 2.6571
0.0228 4.1272 5.3330
0.7849 0.9881 3.3383
1.3412 2.4083 0.0490
1.6926 2.0033 7.4919
2.2489 3.4234 4.2026
3.0110 0.2844 2.2080
3.2336 1.1160 4.8839
```

Peak list (10 most intense, 15 to 90 degrees two-theta, in order of rising 2θ)
Position (°2θ)	I (rel.)
21.3	33.9
25.7	100.0
28.1	72.6
28.4	58.0
29.0	49.2
30.9	35.5
36.9	36.2
43.9	28.1
47.0	32.1
48.3	35.1